Simulated powder XRD pattern
Compound: Bi4S3N2
Radiation: Cu Kα, 1.54184 Å
Structure: a DFT-relaxed cell (GGA-PBE, the Materials Project)
No peak broadening, texture or thermal motion is included.

Crystal structure
Lattice parameters (Å, degrees): 6.891 11.091 10.881 90.00 90.00 90.00
Space group Pnma (No. 62)
Unique sites:
Bi (0.095, 0.250, 0.185) (multiplicity 4)
Bi (0.191, 0.058, 0.908) (multiplicity 8)
Bi (0.234, 0.250, 0.543) (multiplicity 4)
S (0.037, 0.750, 0.229) (multiplicity 4)
S (0.110, 0.574, 0.630) (multiplicity 8)
N (0.054, 0.621, 0.955) (multiplicity 8)

Main lines, in order of falling intensity (2θ from 10° to 80°):
index  2θ/deg  Rel. int.
1 2 2  26.3  100
1 3 1  28.6  95
2 0 0  25.9  44
1 1 3  29.0  36
2 2 1  31.7  36
0 2 4  36.8  32
0 4 0  32.3  28
1 3 2  32.0  27
1 0 1  15.2  27
3 3 2  49.6  25
2 0 3  35.9  24
2 0 2  30.7  24

Simulated powder XRD pattern
Compound: Bi4S3N2
Radiation: Cu Kα, 1.54184 Å
Structure: a DFT-relaxed cell (GGA-PBE, the Materials Project)
No peak broadening, texture or thermal motion is included.

Crystal structure
Lattice parameters (Å, degrees): 14.048 3.884 9.364 90.00 124.84 90.00
Space group C2/m (No. 12)
Unique sites:
Bi (0.120, 0.000, 0.414) (multiplicity 4)
Bi (0.183, 0.500, 0.116) (multiplicity 4)
S (0.000, 0.000, 0.000) (multiplicity 2)
S (0.148, 0.500, 0.723) (multiplicity 4)
N (0.189, 0.500, 0.360) (multiplicity 4)

Main lines, in order of falling intensity (2θ from 10° to 80°):
index  2θ/deg  Rel. int.
3 1 -1  29.9  100
2 0 -3  28.9  68
1 1 2  36.8  60
1 1 -1  24.8  40
2 0 1  24.0  38
4 0 -2  26.0  32
5 1 -4  47.0  30
1 1 -2  30.4  26
2 0 0  15.4  24
5 1 0  45.8  23
0 2 0  46.8  23
2 2 -3  56.0  22

Simulated powder XRD pattern
Compound: Bi4S3N2
Radiation: Cu Kα, 1.54184 Å
Structure: a DFT-relaxed cell (GGA-PBE, the Materials Project)
No peak broadening, texture or thermal motion is included.

Crystal structure
Lattice parameters (Å, degrees): 6.858 15.362 3.982 90.00 90.00 90.00
Space group Pnnm (No. 58)
Unique sites:
Bi (0.214, 0.068, 0.000) (multiplicity 4)
Bi (0.226, 0.850, 0.500) (multiplicity 4)
S (0.000, 0.500, 0.000) (multiplicity 2)
S (0.147, 0.208, 0.500) (multiplicity 4)
N (0.122, 0.924, 0.000) (multiplicity 4)

Main lines, in order of falling intensity (2θ from 10° to 80°):
index  2θ/deg  Rel. int.
1 4 0  26.6  100
1 3 1  31.3  53
2 0 0  26.0  42
0 3 1  28.4  40
2 3 1  38.9  29
3 4 0  46.2  25
0 7 1  47.3  25
2 7 1  54.8  21
1 8 0  49.3  20
0 0 2  45.6  15
1 4 2  53.5  15
1 6 0  37.5  14

Simulated powder XRD pattern
Compound: Bi4Se3N2
Radiation: Cu Kα, 1.54184 Å
Structure: a DFT-relaxed cell (GGA-PBE, the Materials Project)
No peak broadening, texture or thermal motion is included.

Crystal structure
Lattice parameters (Å, degrees): 7.181 11.152 11.090 90.00 90.00 90.00
Space group Pnma (No. 62)
Unique sites:
Bi (0.090, 0.250, 0.184) (multiplicity 4)
Bi (0.178, 0.056, 0.902) (multiplicity 8)
Bi (0.239, 0.250, 0.535) (multiplicity 4)
Se (0.047, 0.750, 0.236) (multiplicity 4)
Se (0.107, 0.565, 0.639) (multiplicity 8)
N (0.050, 0.622, 0.956) (multiplicity 8)

Main lines, in order of falling intensity (2θ from 10° to 80°):
index  2θ/deg  Rel. int.
1 3 1  28.2  100
1 2 2  25.8  77
2 2 1  30.7  68
1 3 2  31.6  65
1 1 3  28.3  49
2 0 3  34.8  35
0 2 4  36.2  33
2 0 2  29.6  31
1 0 1  14.7  25
3 3 2  48.1  24
0 4 0  32.1  22
1 2 5  45.8  19

Simulated powder XRD pattern
Compound: Bi4Se3N2
Radiation: Cu Kα, 1.54184 Å
Structure: a DFT-relaxed cell (GGA-PBE, the Materials Project)
No peak broadening, texture or thermal motion is included.

Crystal structure
Lattice parameters (Å, degrees): 7.182 15.760 4.034 90.00 90.00 90.00
Space group Pnnm (No. 58)
Unique sites:
Bi (0.205, 0.066, 0.000) (multiplicity 4)
Bi (0.218, 0.853, 0.500) (multiplicity 4)
Se (0.000, 0.500, 0.000) (multiplicity 2)
Se (0.152, 0.212, 0.500) (multiplicity 4)
N (0.116, 0.924, 0.000) (multiplicity 4)

Main lines, in order of falling intensity (2θ from 10° to 80°):
index  2θ/deg  Rel. int.
1 3 1  30.6  100
2 0 0  24.8  57
2 3 1  37.7  55
0 3 1  27.9  53
1 4 0  25.8  50
1 1 1  26.0  50
3 1 0  38.0  36
1 6 0  36.4  36
0 0 2  44.9  29
4 5 0  59.2  28
0 7 1  46.2  27
1 2 1  27.8  27

Simulated powder XRD pattern
Compound: Bi4Se3N2
Radiation: Cu Kα, 1.54184 Å
Structure: a DFT-relaxed cell (GGA-PBE, the Materials Project)
No peak broadening, texture or thermal motion is included.

Crystal structure
Lattice parameters (Å, degrees): 14.621 3.978 9.482 90.00 124.23 90.00
Space group C2/m (No. 12)
Unique sites:
Bi (0.127, 0.000, 0.418) (multiplicity 4)
Bi (0.183, 0.500, 0.119) (multiplicity 4)
Se (0.000, 0.000, 0.000) (multiplicity 2)
Se (0.144, 0.500, 0.723) (multiplicity 4)
N (0.191, 0.500, 0.364) (multiplicity 4)

Main lines, in order of falling intensity (2θ from 10° to 80°):
index  2θ/deg  Rel. int.
3 1 -1  29.0  100
2 0 -3  28.6  67
1 1 2  35.8  67
5 1 -4  46.0  24
0 2 0  45.6  24
1 1 -5  59.8  24
2 2 -3  54.7  23
2 0 0  14.7  22
4 0 0  29.6  16
1 1 -1  24.3  15
4 0 1  37.4  15
2 0 -1  12.5  15

Simulated powder XRD pattern
Compound: Sr3BiN
Radiation: Cu Kα, 1.54184 Å
Structure: a DFT-relaxed cell (GGA-PBE, the Materials Project)
No peak broadening, texture or thermal motion is included.

Crystal structure
Lattice parameters (Å, degrees): 5.261 5.261 5.261 90.00 90.00 90.00
Space group Pm-3m (No. 221)
Unique sites:
Sr (0.000, 0.000, 0.500) (multiplicity 3)
Bi (0.500, 0.500, 0.500) (multiplicity 1)
N (0.000, 0.000, 0.000) (multiplicity 1)

Main lines, in order of falling intensity (2θ from 10° to 80°):
index  2θ/deg  Rel. int.
1 1 1  29.4  100
2 0 0  34.1  57
3 1 1  58.2  45
2 2 0  49.0  41
1 1 0  23.9  21
3 3 1  79.4  19
2 2 2  61.0  14
1 0 0  16.9  13
2 1 1  42.1  10
2 1 0  38.3  8
4 0 0  71.8  7
3 2 1  66.5  5

Simulated powder XRD pattern
Compound: Sr3BiN3
Radiation: Cu Kα, 1.54184 Å
Structure: a DFT-relaxed cell (GGA-PBE, the Materials Project)
No peak broadening, texture or thermal motion is included.

Crystal structure
Lattice parameters (Å, degrees): 8.2101 8.2101 5.3439 90.00 90.00 120.00
Space group P6_3/m (No. 176)
Unique sites:
Sr (0.0948, 0.3501, 0.2500) (multiplicity 6)
Bi (0.3333, 0.6667, 0.7500) (multiplicity 2)
N (0.0958, 0.3631, 0.7500) (multiplicity 6)

Main lines, in order of falling intensity (2θ from 10° to 80°):
index  2θ/deg  Rel. int.
2 0 1  30.2  100
1 0 1  20.8  38
0 0 2  33.5  34
1 2 1  37.5  32
2 0 0  25.0  31
1 0 0  12.4  27
3 0 0  38.0  24
1 1 1  27.4  23
2 3 1  59.2  21
3 0 2  51.5  20
2 1 0  33.3  17
2 0 3  57.9  17